[1]
The following is a computed X-ray diffraction stick pattern of Pr3Er3Te2Pd. It was derived from DFT lattice parameters and positions (GGA-PBE), using Cu Kα X-rays.

Cell and atoms:
a b c (Å): 4.0722 8.5143 8.5143
angles (deg): 119.97 90.00 90.00
Fractional positions:
Pr (0.0000, 0.0000, 0.0000)
Pr (0.0000, 0.4066, 0.8129)
Pr (0.0000, 0.8129, 0.4066)
Er (0.5000, 0.1659, 0.4066)
Er (0.5000, 0.4066, 0.1659)
Er (0.5000, 0.6467, 0.6467)
Te (0.5000, 0.0730, 0.7399)
Te (0.5000, 0.7399, 0.0730)
Pd (0.0000, 0.4075, 0.4075)

The 6 most intense peaks (2θ from 10° to 90°), low angle first:
d [Å]	2theta	I (rel.)
2.943	30.37	100
2.787	32.11	77
2.733	32.76	88
2.458	36.55	34
2.300	39.16	44
1.562	59.13	36


[2]
The following is a computed X-ray diffraction stick pattern of Y2ErSn3Pd2Pt. It was derived from DFT lattice parameters and positions (GGA-PBE), using Cu Kα X-rays.

Cell and atoms:
a b c (Å): 3.9416 7.5809 7.5809
angles (deg): 119.85 90.00 90.00
Fractional positions:
Y (0.0000, 0.2002, 0.7998)
Y (0.0000, 0.7998, 0.2002)
Er (0.0000, 0.3999, 0.3999)
Sn (0.5000, 0.0617, 0.0617)
Sn (0.5000, 0.5371, 0.7998)
Sn (0.5000, 0.7998, 0.5371)
Pd (0.5000, 0.1365, 0.4657)
Pd (0.5000, 0.4657, 0.1365)
Pt (0.0000, 0.7976, 0.7976)

The 6 most intense peaks (2θ from 10° to 90°), low angle first:
d [Å]	2theta	I (rel.)
2.733	32.77	88
2.523	35.58	100
2.484	36.16	37
2.190	41.22	54
2.101	43.05	49
1.465	63.51	30


[3]
The following is a computed X-ray diffraction stick pattern of Er2SiPd. It was derived from DFT lattice parameters and positions (GGA-PBE), using Cu Kα X-rays.

Cell and atoms:
a b c (Å): 4.3019 7.1715 5.6063
angles (deg): 90.00 90.00 90.00
Fractional positions:
Er (0.0000, 0.0658, 0.0000)
Er (0.0000, 0.5779, 0.7677)
Er (0.5000, 0.4221, 0.2677)
Er (0.5000, 0.9342, 0.5000)
Si (0.0000, 0.7059, 0.2794)
Si (0.5000, 0.2941, 0.7794)
Pd (0.0000, 0.2129, 0.5046)
Pd (0.5000, 0.7871, 0.0046)

The 6 most intense peaks (2θ from 10° to 90°), low angle first:
d [Å]	2theta	I (rel.)
3.082	28.97	80
2.754	32.51	100
2.611	34.35	89
2.472	36.34	89
2.232	40.41	80
2.151	42.01	52


[4]
The following is a computed X-ray diffraction stick pattern of TbErSnPd2. It was derived from DFT lattice parameters and positions (GGA-PBE), using Cu Kα X-rays.

Cell and atoms:
a b c (Å): 3.5711 7.6121 7.6121
angles (deg): 32.40 90.00 90.00
Fractional positions:
Tb (0.0000, 0.0000, 0.0000)
Er (0.0000, 0.2628, 0.2628)
Sn (0.5000, 0.6315, 0.6315)
Pd (0.5000, 0.4398, 0.4398)
Pd (0.5000, 0.8202, 0.8202)

The 6 most intense peaks (2θ from 10° to 90°), low angle first:
d [Å]	2theta	I (rel.)
2.687	33.35	100
2.554	35.13	51
2.408	37.34	53
2.384	37.73	43
2.124	42.57	32
1.633	56.34	27